# 1
For Li23SiRh6, a DFT-relaxed cell (GGA-PBE, Alexandria) gives the theoretical powder diffractogram in this record (Cu Kα).
No peak broadening, texture or thermal motion is included.

Top 12 peaks for 2θ = 15–90°, low angle first:
2θ/deg, Rel. int.
20.95, 20
25.73, 100
29.79, 58
32.54, 25
33.41, 18
36.70, 25
39.02, 63
42.64, 55
50.47, 22
54.64, 30
59.16, 28
83.33, 31

Structural model:
Cell lengths 8.482, 8.482, 8.482 Å; angles 60.00, 60.00, 60.00 degrees
Atoms (fractional coordinates):
Li1 0.000 0.000 0.000
Li2 0.000 0.000 0.500
Li3 0.000 0.500 0.000
Li4 0.000 0.500 0.500
Li5 0.092 0.636 0.636
Li6 0.120 0.120 0.120
Li7 0.120 0.120 0.641
Li8 0.120 0.641 0.120
Li9 0.359 0.880 0.880
Li10 0.364 0.364 0.364
Li11 0.364 0.364 0.908
Li12 0.364 0.908 0.364
Li13 0.500 0.000 0.000
Li14 0.500 0.000 0.500
Li15 0.500 0.500 0.000
Li16 0.636 0.092 0.636
Li17 0.636 0.636 0.092
Li18 0.636 0.636 0.636
Li19 0.641 0.120 0.120
Li20 0.880 0.359 0.880
Li21 0.880 0.880 0.359
Li22 0.880 0.880 0.880
Li23 0.908 0.364 0.364
Si1 0.500 0.500 0.500
Rh1 0.287 0.287 0.713
Rh2 0.287 0.713 0.287
Rh3 0.287 0.713 0.713
Rh4 0.713 0.287 0.287
Rh5 0.713 0.287 0.713
Rh6 0.713 0.713 0.287

***

# 2
For PrSnAuSe, a DFT-relaxed cell (GGA-PBE, Alexandria) gives the theoretical powder diffractogram in this record (Cu Kα).
No peak broadening, texture or thermal motion is included.

Top 12 peaks for 2θ = 15–90°, low angle first:
2θ/deg, Rel. int.
22.38, 18
24.04, 75
30.34, 28
33.55, 73
38.23, 100
45.67, 14
49.57, 44
51.76, 22
62.09, 13
66.15, 21
69.11, 17
77.32, 12

Structural model:
Cell lengths 12.093, 12.093, 12.093 Å; angles 22.45, 22.45, 22.45 degrees
Atoms (fractional coordinates):
Pr1 0.108 0.108 0.108
Pr2 0.892 0.892 0.892
Sn1 0.298 0.298 0.298
Sn2 0.702 0.702 0.702
Au1 0.381 0.381 0.381
Au2 0.619 0.619 0.619
Se1 0.197 0.197 0.197
Se2 0.803 0.803 0.803

***

# 3
For MgTiO, a DFT-relaxed cell (GGA-PBE, Alexandria) gives the theoretical powder diffractogram in this record (Cu Kα).
No peak broadening, texture or thermal motion is included.

Top 12 peaks for 2θ = 15–90°, low angle first:
2θ/deg, Rel. int.
16.32, 70
35.18, 36
36.23, 32
36.59, 64
40.21, 45
42.85, 100
47.52, 11
59.50, 23
60.92, 24
61.03, 15
63.38, 14
77.78, 10

Structural model:
Cell lengths 5.227, 5.227, 5.496 Å; angles 98.40, 98.40, 32.61 degrees
Atoms (fractional coordinates):
Mg1 0.000 0.000 0.000
Mg2 0.747 0.747 0.221
Ti1 0.227 0.227 0.672
Ti2 0.491 0.491 0.489
O1 0.622 0.622 0.849
O2 0.877 0.877 0.666

***

# 4
For Nd6Dy2HoEr, a DFT-relaxed cell (GGA-PBE, Alexandria) gives the theoretical powder diffractogram in this record (Cu Kα).
No peak broadening, texture or thermal motion is included.

Top 12 peaks for 2θ = 15–90°, low angle first:
2θ/deg, Rel. int.
27.67, 22
28.20, 41
30.07, 51
30.36, 59
30.73, 39
31.04, 100
31.77, 24
32.52, 10
33.45, 37
34.12, 15
50.33, 11
52.36, 10

Structural model:
Cell lengths 8.955, 8.955, 9.655 Å; angles 93.93, 93.93, 117.84 degrees
Atoms (fractional coordinates):
Nd1 0.010 0.566 0.188
Nd2 0.117 0.762 0.554
Nd3 0.238 0.883 0.946
Nd4 0.292 0.509 0.382
Nd5 0.434 0.990 0.312
Nd6 0.491 0.708 0.118
Nd7 0.509 0.292 0.882
Nd8 0.566 0.010 0.688
Nd9 0.708 0.491 0.618
Nd10 0.762 0.117 0.054
Nd11 0.883 0.238 0.446
Nd12 0.990 0.434 0.812
Dy1 0.199 0.297 0.046
Dy2 0.297 0.199 0.546
Dy3 0.703 0.801 0.454
Dy4 0.801 0.703 0.954
Ho1 0.411 0.589 0.750
Ho2 0.589 0.411 0.250
Er1 0.027 0.973 0.250
Er2 0.973 0.027 0.750

***

# 5
For La2Cd3Au6, a DFT-relaxed cell (GGA-PBE, Alexandria) gives the theoretical powder diffractogram in this record (Cu Kα).
No peak broadening, texture or thermal motion is included.

Top 12 peaks for 2θ = 15–90°, low angle first:
2θ/deg, Rel. int.
21.68, 35
31.40, 68
33.94, 49
35.33, 100
35.78, 12
35.88, 13
40.63, 37
44.20, 38
45.74, 15
56.85, 28
58.14, 12
73.40, 13

Structural model:
Cell lengths 8.189, 8.189, 4.100 Å; angles 90.00, 90.00, 104.64 degrees
Atoms (fractional coordinates):
La1 0.198 0.198 0.000
La2 0.802 0.802 0.000
Cd1 0.274 0.726 0.000
Cd2 0.500 0.500 0.500
Cd3 0.726 0.274 0.000
Au1 0.114 0.886 0.500
Au2 0.152 0.465 0.500
Au3 0.465 0.152 0.500
Au4 0.535 0.848 0.500
Au5 0.848 0.535 0.500
Au6 0.886 0.114 0.500

***

# 6
For PuInBiAu, a DFT-relaxed cell (GGA-PBE, Alexandria) gives the theoretical powder diffractogram in this record (Cu Kα).
No peak broadening, texture or thermal motion is included.

Top 12 peaks for 2θ = 15–90°, low angle first:
2θ/deg, Rel. int.
33.47, 100
35.91, 21
39.74, 16
40.72, 15
54.63, 13
55.40, 12
58.21, 10
62.99, 17
68.16, 13
69.51, 12
70.32, 12
89.50, 3

Structural model:
Cell lengths 4.432, 4.536, 5.002 Å; angles 90.00, 90.00, 90.00 degrees
Atoms (fractional coordinates):
Pu1 0.000 0.000 0.000
In1 0.000 0.500 0.500
Bi1 0.500 0.500 0.000
Au1 0.500 0.000 0.500

***

# 7
For Ba4Sr3Mg2, a DFT-relaxed cell (GGA-PBE, Alexandria) gives the theoretical powder diffractogram in this record (Cu Kα).
No peak broadening, texture or thermal motion is included.

Top 12 peaks for 2θ = 15–90°, low angle first:
2θ/deg, Rel. int.
20.71, 23
23.54, 11
26.65, 100
28.05, 23
28.37, 25
35.63, 8
37.19, 7
40.32, 17
46.13, 11
48.71, 8
48.87, 8
49.19, 18

Structural model:
Cell lengths 10.048, 10.048, 8.187 Å; angles 111.40, 111.40, 36.49 degrees
Atoms (fractional coordinates):
Ba1 0.052 0.052 0.313
Ba2 0.277 0.277 0.718
Ba3 0.723 0.723 0.282
Ba4 0.948 0.948 0.687
Sr1 0.372 0.372 0.287
Sr2 0.500 0.500 0.000
Sr3 0.628 0.628 0.713
Mg1 0.151 0.151 0.993
Mg2 0.849 0.849 0.007

***

# 8
For Zr4NpN4, a DFT-relaxed cell (GGA-PBE, Alexandria) gives the theoretical powder diffractogram in this record (Cu Kα).
No peak broadening, texture or thermal motion is included.

Top 12 peaks for 2θ = 15–90°, low angle first:
2θ/deg, Rel. int.
16.87, 8
22.66, 22
23.94, 6
33.20, 100
38.29, 49
38.99, 22
48.35, 5
55.27, 15
55.80, 32
66.02, 28
66.98, 14
69.70, 15

Structural model:
Cell lengths 5.741, 5.741, 5.741 Å; angles 99.32, 99.32, 132.55 degrees
Atoms (fractional coordinates):
Zr1 0.105 0.690 0.795
Zr2 0.310 0.105 0.415
Zr3 0.690 0.895 0.585
Zr4 0.895 0.310 0.205
Np1 0.500 0.500 0.000
N1 0.196 0.400 0.596
N2 0.400 0.804 0.204
N3 0.600 0.196 0.796
N4 0.804 0.600 0.404

***

# 9
For Er2Ni9Sn, a DFT-relaxed cell (GGA-PBE, Alexandria) gives the theoretical powder diffractogram in this record (Cu Kα).
No peak broadening, texture or thermal motion is included.

Top 12 peaks for 2θ = 15–90°, low angle first:
2θ/deg, Rel. int.
33.35, 52
36.37, 50
36.73, 61
42.84, 48
43.18, 100
45.32, 19
46.32, 24
46.76, 25
65.91, 17
69.56, 19
70.60, 22
78.11, 25

Structural model:
Cell lengths 8.585, 8.585, 8.585 Å; angles 33.12, 33.12, 33.12 degrees
Atoms (fractional coordinates):
Er1 0.137 0.137 0.137
Er2 0.863 0.863 0.863
Ni1 0.082 0.584 0.584
Ni2 0.333 0.333 0.333
Ni3 0.416 0.416 0.918
Ni4 0.416 0.918 0.416
Ni5 0.500 0.500 0.500
Ni6 0.584 0.082 0.584
Ni7 0.584 0.584 0.082
Ni8 0.667 0.667 0.667
Ni9 0.918 0.416 0.416
Sn1 0.000 0.000 0.000

***

# 10
For BaPr2NbN4, a DFT-relaxed cell (GGA-PBE, Alexandria) gives the theoretical powder diffractogram in this record (Cu Kα).
No peak broadening, texture or thermal motion is included.

Top 12 peaks for 2θ = 15–90°, low angle first:
2θ/deg, Rel. int.
25.21, 31
27.44, 41
28.30, 68
29.26, 100
33.01, 37
35.30, 63
39.81, 23
45.28, 15
48.21, 19
48.73, 24
50.42, 18
58.82, 17

Structural model:
Cell lengths 6.748, 6.748, 12.625 Å; angles 90.00, 90.00, 148.88 degrees
Atoms (fractional coordinates):
Ba1 0.089 0.911 0.750
Ba2 0.911 0.089 0.250
Pr1 0.371 0.629 0.535
Pr2 0.371 0.629 0.965
Pr3 0.629 0.371 0.035
Pr4 0.629 0.371 0.465
Nb1 0.175 0.825 0.250
Nb2 0.825 0.175 0.750
N1 0.000 0.000 0.000
N2 0.000 0.000 0.500
N3 0.259 0.741 0.124
N4 0.259 0.741 0.376
N5 0.406 0.594 0.750
N6 0.594 0.406 0.250
N7 0.741 0.259 0.624
N8 0.741 0.259 0.876

***

# 11
For Nd2Tl2OsO6, a DFT-relaxed cell (GGA-PBE, Alexandria) gives the theoretical powder diffractogram in this record (Cu Kα).
No peak broadening, texture or thermal motion is included.

Top 12 peaks for 2θ = 15–90°, low angle first:
2θ/deg, Rel. int.
17.13, 49
24.82, 88
30.00, 51
31.93, 77
32.58, 100
38.21, 37
40.39, 23
47.93, 32
49.31, 33
54.06, 27
55.34, 22
66.72, 17

Structural model:
Cell lengths 6.022, 6.022, 7.186 Å; angles 91.54, 91.54, 120.61 degrees
Atoms (fractional coordinates):
Nd1 0.164 0.836 0.000
Nd2 0.836 0.164 0.000
Tl1 0.349 0.651 0.500
Tl2 0.651 0.349 0.500
Os1 0.500 0.500 0.000
O1 0.203 0.495 0.854
O2 0.221 0.221 0.147
O3 0.495 0.203 0.854
O4 0.505 0.797 0.146
O5 0.779 0.779 0.853
O6 0.797 0.505 0.146

***

# 12
For SiH12C2N2F6, a DFT-relaxed cell (GGA-PBE, Alexandria) gives the theoretical powder diffractogram in this record (Cu Kα).
No peak broadening, texture or thermal motion is included.

Top 12 peaks for 2θ = 15–90°, low angle first:
2θ/deg, Rel. int.
15.31, 100
16.46, 55
18.32, 6
18.45, 6
23.40, 7
26.03, 11
26.16, 9
27.48, 6
33.26, 14
37.05, 8
37.41, 6
38.46, 8

Structural model:
Cell lengths 6.866, 6.866, 9.671 Å; angles 94.39, 94.39, 89.38 degrees
Atoms (fractional coordinates):
Si1 0.223 0.777 0.750
Si2 0.777 0.223 0.250
H1 0.018 0.247 0.516
H2 0.109 0.335 0.954
H3 0.128 0.393 0.644
H4 0.135 0.149 0.651
H5 0.149 0.135 0.151
H6 0.247 0.018 0.016
H7 0.271 0.450 0.089
H8 0.323 0.368 0.441
H9 0.335 0.109 0.454
H10 0.368 0.323 0.941
H11 0.393 0.128 0.144
H12 0.450 0.271 0.589
H13 0.550 0.729 0.411
H14 0.607 0.872 0.856
H15 0.632 0.677 0.059
H16 0.665 0.891 0.546
H17 0.677 0.632 0.559
H18 0.729 0.550 0.911
H19 0.753 0.982 0.984
H20 0.851 0.865 0.849
H21 0.865 0.851 0.349
H22 0.872 0.607 0.356
H23 0.891 0.665 0.046
H24 0.982 0.753 0.484
C1 0.251 0.325 0.012
C2 0.325 0.251 0.512
C3 0.675 0.749 0.488
C4 0.749 0.675 0.988
N1 0.142 0.261 0.585
N2 0.261 0.142 0.085
N3 0.739 0.858 0.915
N4 0.858 0.739 0.415
F1 0.041 0.604 0.734
F2 0.041 0.959 0.750
F3 0.214 0.778 0.571
F4 0.222 0.786 0.929
F5 0.396 0.959 0.766
F6 0.398 0.602 0.750
F7 0.602 0.398 0.250
F8 0.604 0.041 0.234
F9 0.778 0.214 0.071
F10 0.786 0.222 0.429
F11 0.959 0.041 0.250
F12 0.959 0.396 0.266